# 1
For Rb2LiMnF6, DFT lattice parameters and positions (GGA+U) gives the theoretical X-ray diffraction stick pattern in this record (Cu Ka).

Structure:
```
Rb2LiMnF6
1.0
0.0000 4.1706 4.1706
4.1706 0.0000 4.1706
4.1706 4.1706 0.0000
Rb Li Mn F
2 1 1 6
Cartesian
2.0853 2.0853 2.0853
6.2559 6.2559 6.2559
0.0000 0.0000 0.0000
4.1706 4.1706 4.1706
4.1706 4.1706 2.1944
4.1706 2.1944 4.1706
6.1468 4.1706 4.1706
2.1944 4.1706 4.1706
4.1706 6.1468 4.1706
4.1706 4.1706 6.1468
```

Main lines, in order of falling intensity (2θ from 15° to 90°):
two_theta, d (Å), I (rel.)
30.31, 2.949, 100
43.39, 2.085, 57
37.35, 2.408, 51
53.84, 1.703, 39
63.04, 1.475, 33
18.42, 4.816, 23

---

# 2
For Li4Co3O7, DFT lattice parameters and positions (GGA+U) gives the theoretical X-ray diffraction stick pattern in this record (Cu Ka).

Structure:
```
Li4Co3O7
1.0
2.5486 -10.1695 0.0000
2.5486 10.1695 0.0000
-1.7487 0.0000 4.8569
Li Co O
8 6 14
Cartesian
0.0000 0.0000 0.0000
1.6743 8.7708 2.4284
1.6743 5.8233 2.4284
1.6743 2.9133 2.4284
1.6743 0.0000 2.4284
1.6743 -2.9133 2.4284
1.6743 -5.8233 2.4284
1.6743 -8.7708 2.4284
2.5486 7.3289 0.0000
2.5486 4.3691 0.0000
2.5486 1.4253 0.0000
2.5486 -1.4253 0.0000
2.5486 -4.3691 0.0000
2.5486 -7.3289 0.0000
0.8065 4.3571 1.0996
-0.0214 2.9105 3.7401
0.9034 1.5471 1.0945
0.0719 0.0000 3.7204
0.9034 -1.5471 1.0945
-0.0214 -2.9105 3.7401
0.8065 -4.3571 1.0996
2.5420 4.3571 3.7573
3.3699 2.9105 1.1168
2.4452 1.5471 3.7623
3.2767 0.0000 1.1365
2.4452 -1.5471 3.7623
3.3699 -2.9105 1.1168
2.5420 -4.3571 3.7573
```

Main lines, in order of falling intensity (2θ from 15° to 90°):
two_theta, d (Å), I (rel.)
18.27, 4.857, 100
43.73, 2.070, 55
43.11, 2.098, 29
36.15, 2.485, 26
63.42, 1.467, 15
62.76, 1.481, 15

---

# 3
For SmCoC6N6O5, DFT lattice parameters and positions (GGA+U) gives the theoretical X-ray diffraction stick pattern in this record (Cu Ka).

Structure:
```
SmCoC6N6O5
1.0
7.6821 0.0000 0.0000
-3.8410 6.6529 0.0000
0.0000 0.0000 12.8910
Sm Co C N O
2 2 12 12 10
Cartesian
0.0000 4.4352 3.2227
3.8410 2.2176 9.6682
0.0000 0.0000 0.0000
0.0000 0.0000 6.4455
-2.5577 5.7989 1.0513
-2.5577 5.7989 5.3941
0.0979 1.5384 1.0513
0.0979 1.5384 5.3941
1.3812 0.6844 7.4968
1.3812 0.6844 11.8396
2.4598 5.9685 1.0513
2.4598 5.9685 5.3941
3.7431 5.1145 7.4968
3.7431 5.1145 11.8396
6.3987 0.8540 7.4968
6.3987 0.8540 11.8396
-1.7344 5.2671 1.6900
-1.7344 5.2671 4.7554
0.1468 2.5173 1.6900
0.1468 2.5173 4.7554
2.2534 1.1315 8.1355
2.2534 1.1315 11.2009
1.5876 5.5213 1.6900
1.5876 5.5213 4.7554
3.6942 4.1356 8.1355
3.6942 4.1356 11.2009
5.5754 1.3857 8.1355
5.5754 1.3857 11.2009
-1.6144 3.7197 9.6682
0.0000 4.4352 8.5124
0.0000 4.4352 10.8240
1.4269 3.3948 9.6682
0.1876 6.1911 9.6682
3.6534 0.4617 3.2227
2.4142 3.2580 3.2227
3.8410 2.2176 2.0669
3.8410 2.2176 4.3785
5.4555 2.9331 3.2227
```

Main lines, in order of falling intensity (2θ from 15° to 90°):
two_theta, d (Å), I (rel.)
19.17, 4.629, 100
36.40, 2.468, 48
23.16, 3.841, 40
34.09, 2.630, 30
38.43, 2.343, 20
62.52, 1.486, 18

---

# 4
For MgFeNiP2O9, DFT lattice parameters and positions (GGA+U) gives the theoretical X-ray diffraction stick pattern in this record (Cu Ka).

Structure:
```
MgFeNiP2O9
1.0
14.2024 0.0000 0.0000
0.0000 6.2845 0.0000
0.0000 0.0000 7.2475
Mg Fe Ni P O
4 4 4 8 36
Cartesian
3.1814 1.5711 0.6595
3.9198 4.7134 4.2832
10.2826 1.5711 2.9643
11.0211 4.7134 6.5880
1.6735 1.5711 4.6784
5.4277 4.7134 1.0547
8.7747 1.5711 6.1928
12.5290 4.7134 2.5691
0.0000 0.0000 0.0000
0.0000 3.1422 0.0000
7.1012 0.0000 3.6237
7.1012 3.1422 3.6237
0.9957 4.7134 4.6561
2.7877 4.7134 0.8593
4.3136 1.5711 4.4831
6.1056 1.5711 1.0324
8.0969 4.7134 6.2151
9.8889 4.7134 2.7644
11.4148 1.5711 6.3882
13.2068 1.5711 2.5914
0.0526 1.5711 3.6729
0.3100 4.7134 6.0401
0.6975 1.5711 6.2798
1.9642 3.3875 0.7992
1.9642 6.0392 0.7992
1.9941 3.5357 4.5521
1.9941 5.8910 4.5521
3.2301 1.5711 3.3516
3.4463 1.5711 5.7985
3.6549 4.7134 2.1748
3.8711 4.7134 6.9754
5.1071 0.3935 0.9284
5.1071 2.7487 0.9284
5.1370 0.2453 4.4229
5.1370 2.8969 4.4229
6.4038 4.7134 2.6560
6.7912 1.5711 2.4164
7.0487 4.7134 0.0491
7.1538 1.5711 7.1984
7.4113 4.7134 4.8311
7.7987 1.5711 4.5914
9.0654 3.3875 2.8245
9.0654 6.0392 2.8245
9.0953 3.5357 6.3191
9.0953 5.8910 6.3191
10.3313 1.5711 0.2721
10.5475 1.5711 5.0727
10.7561 4.7134 1.4490
10.9723 4.7134 3.8959
12.2083 0.3935 2.6954
12.2083 2.7487 2.6954
12.2383 0.2453 6.4483
12.2383 2.8969 6.4483
13.5050 4.7134 0.9677
13.8924 1.5711 1.2074
14.1499 4.7134 3.5746
```

Main lines, in order of falling intensity (2θ from 15° to 90°):
two_theta, d (Å), I (rel.)
25.37, 3.511, 100
31.67, 2.825, 66
17.48, 5.072, 57
33.90, 2.645, 40
22.47, 3.957, 37
58.09, 1.588, 34

---

# 5
For Li2Ni3SbO8, DFT lattice parameters and positions (GGA+U) gives the theoretical X-ray diffraction stick pattern in this record (Cu Ka).

Structure:
```
Li2Ni3SbO8
1.0
5.8520 0.0000 0.0000
-2.9260 5.0680 0.0000
0.0000 0.0000 9.5274
Li Ni Sb O
4 6 2 16
Cartesian
0.0000 0.0000 0.0000
0.0000 0.0000 4.7637
0.0000 3.3787 3.8524
2.9260 1.6893 8.6161
0.0000 1.7257 6.8895
-1.4315 4.2051 6.8895
1.4945 0.8629 2.1258
1.4315 4.2051 6.8895
4.3575 0.8629 2.1258
2.9260 3.3423 2.1258
0.0000 3.3787 9.5100
2.9260 1.6893 4.7463
0.0000 0.0000 2.9235
0.0000 0.0000 7.6871
-1.3178 2.6178 8.1104
0.0000 1.6441 0.9999
-1.5022 4.2460 0.9999
1.4238 0.8220 5.7636
0.0000 3.3787 5.9739
1.3178 2.6178 8.1104
0.0000 4.9004 8.1104
2.9260 0.1676 3.3467
1.6082 2.4502 3.3467
2.9260 1.6893 1.2102
1.5022 4.2460 0.9999
4.4282 0.8220 5.7636
2.9260 3.4239 5.7636
4.2438 2.4502 3.3467
```

Main lines, in order of falling intensity (2θ from 15° to 90°):
two_theta, d (Å), I (rel.)
19.84, 4.474, 100
36.02, 2.493, 51
33.29, 2.691, 41
36.70, 2.449, 38
25.66, 3.471, 32
45.81, 1.981, 32